No. 1
Simulated powder X-ray diffraction pattern of Ho8Er3Th3 for λ = 1.5418 Å (Cu Kα), from the GGA-PBE geometry in Alexandria.

Most intense lines, 2θ from 10° to 90°, in order of rising 2θ:
Position (°2θ)	Rel. int.	h k l
29.3	21	1 2 3
30.1	31	1 1 4
31.0	25	0 3 3
31.9	50	2 0 0
32.2	100	1 3 2
34.2	45	1 0 5
45.1	18	2 3 3
57.0	20	3 3 2

```
data_Ho8Er3Th3
_cell_length_a 5.6143
_cell_length_b 10.6473
_cell_length_c 14.8419
_cell_angle_alpha 90.00
_cell_angle_beta 90.00
_cell_angle_gamma 90.00
_space_group_name_H-M_alt 'I m m m'
_space_group_IT_number 71
_space_group_name_Hall '-I 2 2'
loop_
_atom_site_label
_atom_site_type_symbol
_atom_site_fract_x
_atom_site_fract_y
_atom_site_fract_z
_atom_site_occupancy
Ho1 Ho 0.0000 0.1584 0.2234 1
Ho2 Ho 0.0000 0.3411 0.3971 1
Er1 Er 0.0000 0.0000 0.0000 1
Er2 Er 0.0000 0.3048 0.0000 1
Th1 Th 0.0000 0.0000 0.5000 1
Th2 Th 0.0000 0.5000 0.1843 1
```

No. 2
Simulated powder X-ray diffraction pattern of Y6AuS4 for λ = 1.5418 Å (Cu Kα), from the GGA-PBE geometry in Alexandria.

Most intense lines, 2θ from 10° to 90°, in order of rising 2θ:
Position (°2θ)	Rel. int.	h k l
29.7	36	1 1 4
29.9	66	0 2 6
31.2	22	1 3 1
32.1	100	1 3 2
33.7	25	1 3 3
43.3	23	1 1 8
45.7	37	0 6 4
46.4	25	2 0 0

```
data_Y6AuS4
_cell_length_a 3.9101
_cell_length_b 12.9483
_cell_length_c 20.1712
_cell_angle_alpha 90.00
_cell_angle_beta 90.00
_cell_angle_gamma 90.00
_space_group_name_H-M_alt 'C m c m'
_space_group_IT_number 63
_space_group_name_Hall '-C 2c 2'
loop_
_atom_site_label
_atom_site_type_symbol
_atom_site_fract_x
_atom_site_fract_y
_atom_site_fract_z
_atom_site_occupancy
Y1 Y 0.0000 0.0000 0.0000 1
Y2 Y 0.0000 0.1682 0.2500 1
Y3 Y 0.0000 0.2729 0.5853 1
Y4 Y 0.0000 0.4526 0.1623 1
Au1 Au 0.0000 0.1598 0.7500 1
S1 S 0.0000 0.0904 0.1229 1
S2 S 0.0000 0.3616 0.0395 1
```

No. 3
Simulated powder X-ray diffraction pattern of Tm3TlSn for λ = 1.5418 Å (Cu Kα), from the GGA-PBE geometry in Alexandria.

Most intense lines, 2θ from 10° to 90°, in order of rising 2θ:
Position (°2θ)	Rel. int.	h k l
27.5	27	3 1 1
30.1	44	3 3 -1
31.0	65	1 1 2
31.8	100	2 4 -1
34.8	40	5 1 0
35.4	26	4 2 1
36.1	45	4 0 -2
62.3	26	8 4 -1

```
data_Tm3TlSn
_cell_length_a 13.3115
_cell_length_b 13.6650
_cell_length_c 6.3843
_cell_angle_alpha 90.00
_cell_angle_beta 99.52
_cell_angle_gamma 90.00
_space_group_name_H-M_alt 'C 1 2/c 1'
_space_group_IT_number 15
_space_group_name_Hall '-C 2yc'
loop_
_atom_site_label
_atom_site_type_symbol
_atom_site_fract_x
_atom_site_fract_y
_atom_site_fract_z
_atom_site_occupancy
Tm1 Tm 0.0820 0.1280 0.0183 1
Tm2 Tm 0.1816 0.4458 0.1279 1
Tm3 Tm 0.1872 0.2914 0.6967 1
Tl1 Tl 0.0000 0.3181 0.2500 1
Tl2 Tl 0.0000 0.4119 0.7500 1
Sn1 Sn 0.1459 0.0880 0.5077 1
```

No. 4
Simulated powder X-ray diffraction pattern of Tb4HgSe3 for λ = 1.5418 Å (Cu Kα), from the GGA-PBE geometry in Alexandria.

Most intense lines, 2θ from 10° to 90°, in order of rising 2θ:
Position (°2θ)	Rel. int.	h k l
30.3	51	0 4 0
30.4	100	2 0 1
42.5	20	4 0 0
43.5	75	2 4 1
44.6	18	0 0 2
53.1	21	4 4 0
54.9	19	0 4 2
71.6	17	2 8 1

```
data_Tb4HgSe3
_cell_length_a 8.5039
_cell_length_b 11.7963
_cell_length_c 4.0615
_cell_angle_alpha 90.00
_cell_angle_beta 90.00
_cell_angle_gamma 90.00
_space_group_name_H-M_alt 'C m m m'
_space_group_IT_number 65
_space_group_name_Hall '-C 2 2'
loop_
_atom_site_label
_atom_site_type_symbol
_atom_site_fract_x
_atom_site_fract_y
_atom_site_fract_z
_atom_site_occupancy
Tb1 Tb 0.0000 0.2488 0.0000 1
Tb2 Tb 0.2454 0.0000 0.5000 1
Hg1 Hg 0.0000 0.5000 0.0000 1
Se1 Se 0.0000 0.0000 0.0000 1
Se2 Se 0.2500 0.2500 0.5000 1
```

No. 5
Simulated powder X-ray diffraction pattern of TaTl2I2Cl4 for λ = 1.5418 Å (Cu Kα), from the GGA-PBE geometry in Alexandria.

Most intense lines, 2θ from 10° to 90°, in order of rising 2θ:
Position (°2θ)	Rel. int.	h k l
14.2	50	0 0 1
14.4	50	1 1 0
15.4	47	2 0 0
24.5	71	0 2 0
28.5	100	3 1 -2
29.1	73	2 2 0
31.0	72	4 0 0
34.8	77	2 2 -2

```
data_TaTl2I2Cl4
_cell_length_a 13.5092
_cell_length_b 7.2588
_cell_length_c 7.3302
_cell_angle_alpha 90.00
_cell_angle_beta 121.42
_cell_angle_gamma 90.00
_space_group_name_H-M_alt 'C 1 2/m 1'
_space_group_IT_number 12
_space_group_name_Hall '-C 2y'
loop_
_atom_site_label
_atom_site_type_symbol
_atom_site_fract_x
_atom_site_fract_y
_atom_site_fract_z
_atom_site_occupancy
Ta1 Ta 0.0000 0.0000 0.0000 1
Tl1 Tl 0.2431 0.5000 0.1840 1
I1 I 0.2414 0.0000 0.3029 1
Cl1 Cl 0.0297 0.2340 0.8007 1
```

No. 6
Simulated powder X-ray diffraction pattern of AcSn3Rh for λ = 1.5418 Å (Cu Kα), from the GGA-PBE geometry in Alexandria.

Most intense lines, 2θ from 10° to 90°, in order of rising 2θ:
Position (°2θ)	Rel. int.	h k l
28.1	33	0 0 2
29.9	24	2 1 0
31.6	24	0 1 2
32.1	78	0 2 1
33.1	100	2 1 1
41.5	44	2 1 2
59.9	23	2 3 2
64.0	22	4 2 1

```
data_AcSn3Rh
_cell_length_a 6.8253
_cell_length_b 6.2007
_cell_length_c 6.3610
_cell_angle_alpha 90.00
_cell_angle_beta 90.00
_cell_angle_gamma 90.00
_space_group_name_H-M_alt 'P m n 21'
_space_group_IT_number 31
_space_group_name_Hall 'P 2ac -2'
loop_
_atom_site_label
_atom_site_type_symbol
_atom_site_fract_x
_atom_site_fract_y
_atom_site_fract_z
_atom_site_occupancy
Ac1 Ac 0.0000 0.1428 0.0000 1
Sn1 Sn 0.0000 0.8929 0.5402 1
Sn2 Sn 0.2382 0.3372 0.4478 1
Rh1 Rh 0.0000 0.6068 0.2438 1
```

No. 7
Simulated powder X-ray diffraction pattern of MgCdH8Ir2 for λ = 1.5418 Å (Cu Kα), from the GGA-PBE geometry in Alexandria.

Most intense lines, 2θ from 10° to 90°, in order of rising 2θ:
Position (°2θ)	Rel. int.	h k l
15.7	87	0 0 3
24.5	47	0 1 2
30.6	100	1 0 4
38.7	87	1 1 0
42.0	47	1 1 3
43.6	48	1 0 7
50.1	26	0 2 4
65.1	23	2 1 4

```
data_MgCdH8Ir2
_cell_length_a 4.6501
_cell_length_b 4.6501
_cell_length_c 16.9787
_cell_angle_alpha 90.00
_cell_angle_beta 90.00
_cell_angle_gamma 120.00
_space_group_name_H-M_alt 'R -3 m'
_space_group_IT_number 166
_space_group_name_Hall '-R 3 2"'
loop_
_atom_site_label
_atom_site_type_symbol
_atom_site_fract_x
_atom_site_fract_y
_atom_site_fract_z
_atom_site_occupancy
Mg1 Mg 0.0000 0.0000 0.0000 1
Cd1 Cd 0.0000 0.0000 0.5000 1
H1 H 0.0000 0.0000 0.1226 1
H2 H 0.0210 0.5105 0.9467 1
Ir1 Ir 0.0000 0.0000 0.2188 1
```

Copy entry 7 word for word.
Simulated powder X-ray diffraction pattern of MgCdH8Ir2 for λ = 1.5418 Å (Cu Kα), from the GGA-PBE geometry in Alexandria.

Most intense lines, 2θ from 10° to 90°, in order of rising 2θ:
Position (°2θ)	Rel. int.	h k l
15.7	87	0 0 3
24.5	47	0 1 2
30.6	100	1 0 4
38.7	87	1 1 0
42.0	47	1 1 3
43.6	48	1 0 7
50.1	26	0 2 4
65.1	23	2 1 4

```
data_MgCdH8Ir2
_cell_length_a 4.6501
_cell_length_b 4.6501
_cell_length_c 16.9787
_cell_angle_alpha 90.00
_cell_angle_beta 90.00
_cell_angle_gamma 120.00
_space_group_name_H-M_alt 'R -3 m'
_space_group_IT_number 166
_space_group_name_Hall '-R 3 2"'
loop_
_atom_site_label
_atom_site_type_symbol
_atom_site_fract_x
_atom_site_fract_y
_atom_site_fract_z
_atom_site_occupancy
Mg1 Mg 0.0000 0.0000 0.0000 1
Cd1 Cd 0.0000 0.0000 0.5000 1
H1 H 0.0000 0.0000 0.1226 1
H2 H 0.0210 0.5105 0.9467 1
Ir1 Ir 0.0000 0.0000 0.2188 1
```

Question: Which formula does entry 4 have?
Answer: Tb4HgSe3

Repeat the seventh record exactly.
Simulated powder X-ray diffraction pattern of MgCdH8Ir2 for λ = 1.5418 Å (Cu Kα), from the GGA-PBE geometry in Alexandria.

Most intense lines, 2θ from 10° to 90°, in order of rising 2θ:
Position (°2θ)	Rel. int.	h k l
15.7	87	0 0 3
24.5	47	0 1 2
30.6	100	1 0 4
38.7	87	1 1 0
42.0	47	1 1 3
43.6	48	1 0 7
50.1	26	0 2 4
65.1	23	2 1 4

```
data_MgCdH8Ir2
_cell_length_a 4.6501
_cell_length_b 4.6501
_cell_length_c 16.9787
_cell_angle_alpha 90.00
_cell_angle_beta 90.00
_cell_angle_gamma 120.00
_space_group_name_H-M_alt 'R -3 m'
_space_group_IT_number 166
_space_group_name_Hall '-R 3 2"'
loop_
_atom_site_label
_atom_site_type_symbol
_atom_site_fract_x
_atom_site_fract_y
_atom_site_fract_z
_atom_site_occupancy
Mg1 Mg 0.0000 0.0000 0.0000 1
Cd1 Cd 0.0000 0.0000 0.5000 1
H1 H 0.0000 0.0000 0.1226 1
H2 H 0.0210 0.5105 0.9467 1
Ir1 Ir 0.0000 0.0000 0.2188 1
```